Calculated X-ray diffraction stick pattern
Compound: Na5CaAl5FeSi12O36
Radiation: Cu Kα
Structure: DFT lattice parameters and positions (GGA+U)
Kinematic intensities with the Lorentz-polarization factor, no thermal factor.

Top 10 peaks for 5° ≤ 2θ ≤ 70°, by angle:
20.3 deg, intensity 16
30.1 deg, intensity 100
31.0 deg, intensity 63
35.4 deg, intensity 21
35.5 deg, intensity 39
36.5 deg, intensity 36
42.9 deg, intensity 22
45.2 deg, intensity 17
57.6 deg, intensity 19
67.5 deg, intensity 18

Crystal structure
a = 6.491 Å, b = 6.491 Å, c = 15.912 Å
α = 102.78°, β = 102.78°, γ = 84.68°
Fractional coordinates of all 60 atoms:
Na: 0.000 0.000 0.000
Na: 0.001 0.003 0.332
Na: 0.596 0.398 0.164
Na: 0.602 0.404 0.836
Na: 0.997 0.999 0.668
Ca: 0.599 0.401 0.500
Al: 0.201 0.794 0.164
Al: 0.206 0.799 0.836
Al: 0.386 0.605 0.328
Al: 0.395 0.614 0.672
Al: 0.396 0.604 0.000
Fe: 0.196 0.804 0.500
Si: 0.099 0.313 0.173
Si: 0.101 0.331 0.507
Si: 0.105 0.319 0.843
Si: 0.494 0.079 0.322
Si: 0.494 0.090 0.664
Si: 0.496 0.084 0.992
Si: 0.669 0.899 0.493
Si: 0.681 0.895 0.157
Si: 0.687 0.901 0.827
Si: 0.910 0.506 0.336
Si: 0.916 0.504 0.008
Si: 0.921 0.506 0.678
O: 0.108 0.661 0.361
O: 0.115 0.665 0.041
O: 0.117 0.669 0.711
O: 0.197 0.100 0.477
O: 0.199 0.075 0.151
O: 0.201 0.079 0.823
O: 0.262 0.511 0.205
O: 0.267 0.518 0.876
O: 0.279 0.510 0.548
O: 0.331 0.883 0.289
O: 0.335 0.885 0.959
O: 0.339 0.892 0.639
O: 0.400 0.323 0.013
O: 0.404 0.331 0.689
O: 0.406 0.322 0.348
O: 0.482 0.733 0.124
O: 0.489 0.738 0.795
O: 0.490 0.721 0.452
O: 0.618 0.075 0.581
O: 0.647 0.053 0.251
O: 0.648 0.061 0.919
O: 0.651 0.048 0.418
O: 0.655 0.047 0.085
O: 0.669 0.596 0.311
O: 0.673 0.049 0.753
O: 0.677 0.600 0.987
O: 0.678 0.594 0.652
O: 0.900 0.803 0.523
O: 0.921 0.799 0.177
O: 0.925 0.382 0.419
O: 0.925 0.801 0.849
O: 0.939 0.352 0.081
O: 0.947 0.353 0.749
O: 0.951 0.327 0.247
O: 0.952 0.349 0.582
O: 0.953 0.345 0.915

Calculated X-ray diffraction stick pattern
Compound: CaTb4Al2Fe2O12
Radiation: Cu Kα
Structure: DFT lattice parameters and positions (GGA+U)
Kinematic intensities with the Lorentz-polarization factor, no thermal factor.

Top 10 peaks for 5° ≤ 2θ ≤ 70°, by angle:
19.9 deg, intensity 28
22.7 deg, intensity 52
24.3 deg, intensity 42
28.7 deg, intensity 28
31.5 deg, intensity 55
31.8 deg, intensity 100
33.1 deg, intensity 44
33.6 deg, intensity 35
33.8 deg, intensity 39
47.0 deg, intensity 30

Crystal structure
a = 5.731 Å, b = 6.175 Å, c = 7.328 Å
α = 90.26°, β = 91.28°, γ = 97.46°
Fractional coordinates of all 21 atoms:
Ca: 0.000 0.000 0.000
Tb: 0.164 0.841 0.395
Tb: 0.243 0.648 0.836
Tb: 0.567 0.200 0.892
Tb: 0.585 0.349 0.401
Al: 0.070 0.258 0.630
Al: 0.582 0.745 0.143
Fe: 0.061 0.394 0.183
Fe: 0.725 0.796 0.617
O: 0.184 0.982 0.713
O: 0.189 0.212 0.392
O: 0.333 0.903 0.102
O: 0.397 0.406 0.684
O: 0.410 0.470 0.089
O: 0.514 0.720 0.396
O: 0.649 0.823 0.888
O: 0.754 0.175 0.178
O: 0.757 0.126 0.598
O: 0.886 0.685 0.185
O: 0.966 0.560 0.562
O: 0.985 0.338 0.878

Calculated X-ray diffraction stick pattern
Compound: CaTb4Al2Fe2O12
Radiation: Cu Kα
Structure: DFT lattice parameters and positions (GGA+U)
Kinematic intensities with the Lorentz-polarization factor, no thermal factor.

Top 10 peaks for 5° ≤ 2θ ≤ 70°, by angle:
14.4 deg, intensity 100
25.3 deg, intensity 49
28.2 deg, intensity 46
31.2 deg, intensity 52
31.5 deg, intensity 47
31.7 deg, intensity 49
33.2 deg, intensity 45
34.0 deg, intensity 63
34.4 deg, intensity 43
42.7 deg, intensity 46

Crystal structure
a = 6.165 Å, b = 6.241 Å, c = 7.063 Å
α = 90.67°, β = 94.59°, γ = 91.69°
Fractional coordinates of all 21 atoms:
Ca: 0.000 0.000 0.000
Tb: 0.424 0.359 0.536
Tb: 0.503 0.181 0.014
Tb: 0.673 0.667 0.090
Tb: 0.811 0.892 0.541
Al: 0.249 0.829 0.322
Al: 0.966 0.389 0.781
Fe: 0.348 0.768 0.772
Fe: 0.900 0.315 0.315
O: 0.002 0.665 0.325
O: 0.026 0.670 0.749
O: 0.180 0.191 0.785
O: 0.185 0.106 0.363
O: 0.329 0.841 0.082
O: 0.453 0.743 0.494
O: 0.511 0.488 0.833
O: 0.545 0.414 0.254
O: 0.658 0.934 0.832
O: 0.737 0.000 0.236
O: 0.789 0.274 0.583
O: 0.877 0.347 0.014